Simulated PXRD pattern of CsEuMo2O8 for a wavelength of 1.5418 Å, from DFT lattice parameters and positions (PBE+U).
Intensities are scaled so that the largest is 1000.

Crystal structure
abc: 5.171 9.766 8.364
angles: 90.00 90.00 90.00
Space group Pccm (No. 49)
Inequivalent atoms, fractional coordinates:
Cs 0.000 0.000 0.250 [2 per cell]
Eu 0.000 0.500 0.250 [2 per cell]
Mo 0.481 0.303 0.000 [4 per cell]
O 0.255 0.432 0.500 [4 per cell]
O 0.266 0.311 0.171 [8 per cell]
O 0.378 0.140 0.500 [4 per cell]

The 12 most intense peaks (2θ = 10–80°), low angle first:
two_theta, intensity, index
25.1, 939, 1 2 0
27.4, 1000, 1 0 2
28.1, 549, 0 2 2
34.7, 143, 2 0 0
43.3, 145, 0 0 4
45.2, 433, 2 2 2
46.5, 199, 1 4 2
50.7, 260, 1 2 4
56.6, 226, 2 0 4
57.9, 98, 3 0 2
64.0, 109, 1 6 2
73.8, 108, 3 2 4